Simulated powder diffractogram of RbYZnAg2 for Cu Kα (λ = 1.5418 Å), from DFT lattice parameters and positions (GGA-PBE).
Kinematic intensities with the Lorentz-polarization factor, no thermal factor.

Atomic structure:
Cell lengths 5.106, 5.106, 5.500 Å; angles 90.00, 90.00, 90.00 degrees
Fractional positions:
Rb1 0.000 0.000 0.000
Y1 0.500 0.500 0.000
Zn1 0.000 0.000 0.500
Ag1 0.000 0.500 0.500
Ag2 0.500 0.000 0.500

Main lines, by angle (10° ≤ 2θ ≤ 90°):
2theta, I_rel
16.1, 14
29.6, 100
32.6, 40
35.1, 64
48.7, 50
50.6, 22
56.3, 15
59.7, 26
61.4, 24
79.1, 23



Simulated powder diffractogram of Rb2Zn3Ag4 for Cu Kα (λ = 1.5418 Å), from DFT lattice parameters and positions (GGA-PBE).
Kinematic intensities with the Lorentz-polarization factor, no thermal factor.

Atomic structure:
Cell lengths 9.380, 9.380, 9.380 Å; angles 134.13, 98.89, 98.58 degrees
Fractional positions:
Rb1 0.130 0.237 0.367
Rb2 0.370 0.737 0.107
Rb3 0.630 0.263 0.893
Rb4 0.870 0.763 0.633
Zn1 0.041 0.750 0.291
Zn2 0.250 0.750 0.500
Zn3 0.459 0.750 0.709
Zn4 0.541 0.250 0.291
Zn5 0.750 0.250 0.500
Zn6 0.959 0.250 0.709
Ag1 0.106 0.400 0.074
Ag2 0.175 0.100 0.706
Ag3 0.325 0.031 0.926
Ag4 0.394 0.469 0.294
Ag5 0.606 0.531 0.706
Ag6 0.675 0.969 0.074
Ag7 0.825 0.900 0.294
Ag8 0.894 0.600 0.926

Main lines, by angle (10° ≤ 2θ ≤ 90°):
2theta, I_rel
14.5, 100
29.0, 66
29.2, 61
37.6, 20
38.4, 33
38.9, 14
40.5, 24
41.7, 22
49.0, 21
56.2, 18



Simulated powder diffractogram of RbZnAg for Cu Kα (λ = 1.5418 Å), from DFT lattice parameters and positions (GGA-PBE).
Kinematic intensities with the Lorentz-polarization factor, no thermal factor.

Atomic structure:
Cell lengths 5.689, 4.733, 6.916 Å; angles 90.00, 113.36, 90.00 degrees
Fractional positions:
Rb1 0.000 0.000 0.000
Rb2 0.485 0.500 0.997
Zn1 0.637 0.500 0.532
Zn2 0.853 0.000 0.466
Ag1 0.091 0.500 0.471
Ag2 0.398 0.000 0.526

Main lines, by angle (10° ≤ 2θ ≤ 90°):
2theta, I_rel
13.9, 69
25.5, 47
28.1, 100
32.3, 51
36.9, 52
38.0, 49
39.4, 34
39.8, 36
47.3, 23
47.9, 44



Simulated powder diffractogram of Re4Ag5 for Cu Kα (λ = 1.5418 Å), from DFT lattice parameters and positions (GGA-PBE).
Kinematic intensities with the Lorentz-polarization factor, no thermal factor.

Atomic structure:
Cell lengths 7.401, 7.401, 7.401 Å; angles 92.17, 92.17, 157.58 degrees
Fractional positions:
Re1 0.000 0.351 0.351
Re2 0.000 0.649 0.649
Re3 0.351 0.000 0.351
Re4 0.649 0.000 0.649
Ag1 0.000 0.000 0.000
Ag2 0.335 0.335 0.670
Ag3 0.335 0.665 0.000
Ag4 0.665 0.335 0.000
Ag5 0.665 0.665 0.330

Main lines, by angle (10° ≤ 2θ ≤ 90°):
2theta, I_rel
12.2, 24
17.3, 6
37.2, 64
41.0, 100
48.3, 7
53.6, 21
64.8, 7
69.6, 36
77.1, 15
88.8, 10



Simulated powder diffractogram of ReAg2 for Cu Kα (λ = 1.5418 Å), from DFT lattice parameters and positions (GGA-PBE).
Kinematic intensities with the Lorentz-polarization factor, no thermal factor.

Atomic structure:
Cell lengths 5.654, 5.654, 6.976 Å; angles 106.13, 106.13, 28.25 degrees
Fractional positions:
Re1 0.000 0.000 0.000
Re2 0.636 0.636 0.289
Ag1 0.272 0.272 0.035
Ag2 0.313 0.313 0.648
Ag3 0.591 0.591 0.701
Ag4 0.922 0.922 0.374

Main lines, by angle (10° ≤ 2θ ≤ 90°):
2theta, I_rel
13.2, 10
35.7, 13
37.0, 46
37.2, 24
40.3, 24
40.5, 25
41.7, 100
65.1, 14
69.9, 11
79.9, 10



Simulated powder diffractogram of Sc2ReAg for Cu Kα (λ = 1.5418 Å), from DFT lattice parameters and positions (GGA-PBE).
Kinematic intensities with the Lorentz-polarization factor, no thermal factor.

Atomic structure:
Cell lengths 3.298, 3.276, 6.960 Å; angles 90.00, 90.04, 90.00 degrees
Fractional positions:
Sc1 0.002 0.000 0.278
Sc2 0.998 0.000 0.722
Re1 0.500 0.500 0.500
Ag1 0.500 0.500 0.000

Main lines, by angle (10° ≤ 2θ ≤ 90°):
2theta, I_rel
12.7, 34
25.6, 42
27.0, 35
27.2, 34
37.6, 100
37.7, 99
38.7, 95
47.0, 34
67.2, 33
69.3, 31